# 1
Theoretical powder X-ray diffraction pattern
Compound: LiAc2InAu6
Radiation: Cu Kα X-rays
Structure: a cell relaxed with GGA-PBE
Lines closer than 0.1° are merged.

Principal peaks in the range 2θ = 10–90°, by angle:
| 2θ (°) | I_rel |
| --- | --- |
| 26.03 | 41 |
| 26.35 | 39 |
| 27.48 | 30 |
| 33.17 | 18 |
| 37.41 | 100 |
| 37.56 | 47 |
| 37.72 | 44 |
| 39.04 | 24 |
| 53.49 | 16 |
| 55.08 | 15 |

Structural model:
Cell lengths 7.0658, 7.0658, 9.2811 Å; angles 128.38, 128.38, 46.36 degrees
Sites, in units of the cell vectors:
Li  0.0000  0.0000  0.0000
Ac  0.2543  0.2543  0.7892
Ac  0.7457  0.7457  0.2108
In  0.5000  0.5000  0.5000
Au  0.2327  0.7331  0.2173
Au  0.2422  0.2422  0.4000
Au  0.2669  0.7673  0.7827
Au  0.7331  0.2327  0.2173
Au  0.7578  0.7578  0.6000
Au  0.7673  0.2669  0.7827

---

# 2
Theoretical powder X-ray diffraction pattern
Compound: LiAcInAu
Radiation: Cu Kα X-rays
Structure: a cell relaxed with GGA-PBE
Lines closer than 0.1° are merged.

Principal peaks in the range 2θ = 10–90°, by angle:
| 2θ (°) | I_rel |
| --- | --- |
| 21.88 | 62 |
| 24.28 | 25 |
| 32.25 | 100 |
| 36.83 | 85 |
| 37.22 | 26 |
| 49.75 | 30 |
| 52.92 | 24 |
| 63.48 | 29 |
| 66.35 | 15 |
| 87.29 | 13 |

Structural model:
Cell lengths 5.6581, 5.6581, 5.6581 Å; angles 51.10, 51.10, 51.10 degrees
Sites, in units of the cell vectors:
Li  0.0000  0.0000  0.0000
Ac  0.2086  0.2086  0.2086
In  0.7047  0.7047  0.7047
Au  0.4231  0.4231  0.4231

---

# 3
Theoretical powder X-ray diffraction pattern
Compound: NaAc2In4Au3
Radiation: Cu Kα X-rays
Structure: a cell relaxed with GGA-PBE
Lines closer than 0.1° are merged.

Principal peaks in the range 2θ = 10–90°, by angle:
| 2θ (°) | I_rel |
| --- | --- |
| 27.34 | 26 |
| 28.93 | 68 |
| 30.95 | 100 |
| 39.05 | 63 |
| 40.03 | 21 |
| 41.18 | 46 |
| 49.33 | 32 |
| 56.42 | 22 |
| 58.05 | 34 |
| 65.75 | 23 |

Structural model:
Cell lengths 4.6128, 4.6128, 12.4556 Å; angles 90.00, 90.00, 90.00 degrees
Sites, in units of the cell vectors:
Na  0.0000  0.0000  0.0000
Ac  0.0000  0.5000  0.7343
Ac  0.5000  0.0000  0.2657
In  0.0000  0.0000  0.5000
In  0.0000  0.5000  0.1421
In  0.5000  0.0000  0.8579
In  0.5000  0.5000  0.5000
Au  0.0000  0.5000  0.3630
Au  0.5000  0.0000  0.6370
Au  0.5000  0.5000  0.0000

---

# 4
Theoretical powder X-ray diffraction pattern
Compound: AcInPtAu
Radiation: Cu Kα X-rays
Structure: a cell relaxed with GGA-PBE
Lines closer than 0.1° are merged.

Principal peaks in the range 2θ = 10–90°, by angle:
| 2θ (°) | I_rel |
| --- | --- |
| 21.06 | 4 |
| 34.72 | 100 |
| 40.96 | 3 |
| 49.92 | 18 |
| 54.76 | 1 |
| 62.24 | 38 |
| 66.49 | 1 |
| 73.28 | 12 |
| 77.24 | 1 |
| 83.71 | 17 |

Structural model:
Cell lengths 5.1671, 5.1671, 5.1671 Å; angles 60.00, 60.00, 60.00 degrees
Sites, in units of the cell vectors:
Ac  0.0000  0.0000  0.0000
In  0.5000  0.5000  0.5000
Pt  0.2500  0.2500  0.2500
Au  0.7500  0.7500  0.7500

---

# 5
Theoretical powder X-ray diffraction pattern
Compound: AcScIn2Au4
Radiation: Cu Kα X-rays
Structure: a cell relaxed with GGA-PBE
Lines closer than 0.1° are merged.

Principal peaks in the range 2θ = 10–90°, by angle:
| 2θ (°) | I_rel |
| --- | --- |
| 26.95 | 26 |
| 31.54 | 23 |
| 34.13 | 84 |
| 37.18 | 100 |
| 42.72 | 12 |
| 51.35 | 26 |
| 64.57 | 15 |
| 65.09 | 26 |
| 67.03 | 18 |
| 89.16 | 12 |

Structural model:
Cell lengths 9.4180, 9.4180, 9.4180 Å; angles 29.76, 29.76, 29.76 degrees
Sites, in units of the cell vectors:
Ac  0.0000  0.0000  0.0000
Sc  0.5000  0.5000  0.5000
In  0.2429  0.2429  0.2429
In  0.7571  0.7571  0.7571
Au  0.1351  0.1351  0.1351
Au  0.3943  0.3943  0.3943
Au  0.6057  0.6057  0.6057
Au  0.8649  0.8649  0.8649

---

# 6
Theoretical powder X-ray diffraction pattern
Compound: Ac4TlIn2Au
Radiation: Cu Kα X-rays
Structure: a cell relaxed with GGA-PBE
Lines closer than 0.1° are merged.

Principal peaks in the range 2θ = 10–90°, by angle:
| 2θ (°) | I_rel |
| --- | --- |
| 30.94 | 95 |
| 31.23 | 100 |
| 44.54 | 36 |
| 54.84 | 15 |
| 55.40 | 38 |
| 55.58 | 20 |
| 64.48 | 10 |
| 65.14 | 13 |
| 73.39 | 13 |
| 73.86 | 17 |

Structural model:
Cell lengths 10.0439, 10.0439, 10.0439 Å; angles 33.13, 33.13, 33.13 degrees
Sites, in units of the cell vectors:
Ac  0.1189  0.1189  0.1189
Ac  0.3679  0.3679  0.3679
Ac  0.6321  0.6321  0.6321
Ac  0.8811  0.8811  0.8811
Tl  0.5000  0.5000  0.5000
In  0.2456  0.2456  0.2456
In  0.7544  0.7544  0.7544
Au  0.0000  0.0000  0.0000

---

# 7
Theoretical powder X-ray diffraction pattern
Compound: Ac2YInAu6
Radiation: Cu Kα X-rays
Structure: a cell relaxed with GGA-PBE
Lines closer than 0.1° are merged.

Principal peaks in the range 2θ = 10–90°, by angle:
| 2θ (°) | I_rel |
| --- | --- |
| 10.67 | 96 |
| 15.53 | 31 |
| 21.44 | 56 |
| 31.28 | 44 |
| 31.41 | 45 |
| 31.84 | 46 |
| 32.40 | 31 |
| 33.89 | 100 |
| 34.07 | 64 |
| 39.74 | 30 |

Structural model:
Cell lengths 6.7110, 6.7186, 9.0809 Å; angles 69.60, 69.14, 60.63 degrees
Sites, in units of the cell vectors:
Ac  0.2079  0.2072  0.3722
Ac  0.7921  0.7928  0.6278
Y  0.5000  0.5000  0.5000
In  0.0000  0.0000  0.0000
Au  0.1929  0.7584  0.2853
Au  0.2346  0.2500  0.7196
Au  0.2457  0.8142  0.7124
Au  0.7543  0.1858  0.2876
Au  0.7654  0.7500  0.2804
Au  0.8071  0.2416  0.7147

---

# 8
Theoretical powder X-ray diffraction pattern
Compound: Ac2Zn3InAu4
Radiation: Cu Kα X-rays
Structure: a cell relaxed with GGA-PBE
Lines closer than 0.1° are merged.

Principal peaks in the range 2θ = 10–90°, by angle:
| 2θ (°) | I_rel |
| --- | --- |
| 25.26 | 12 |
| 30.97 | 41 |
| 32.19 | 100 |
| 39.84 | 55 |
| 42.81 | 14 |
| 45.00 | 26 |
| 51.30 | 20 |
| 57.61 | 19 |
| 61.65 | 21 |
| 67.55 | 24 |

Structural model:
Cell lengths 4.5252, 4.5252, 11.2481 Å; angles 90.00, 90.00, 90.00 degrees
Sites, in units of the cell vectors:
Ac  0.0000  0.5000  0.2418
Ac  0.5000  0.0000  0.7582
Zn  0.0000  0.5000  0.8780
Zn  0.5000  0.0000  0.1220
Zn  0.5000  0.5000  0.5000
In  0.0000  0.0000  0.5000
Au  0.0000  0.0000  0.0000
Au  0.0000  0.5000  0.6471
Au  0.5000  0.0000  0.3529
Au  0.5000  0.5000  0.0000

---

# 9
Theoretical powder X-ray diffraction pattern
Compound: Ac8Ir3Au
Radiation: Cu Kα X-rays
Structure: a cell relaxed with GGA-PBE
Lines closer than 0.1° are merged.

Principal peaks in the range 2θ = 10–90°, by angle:
| 2θ (°) | I_rel |
| --- | --- |
| 13.05 | 32 |
| 23.35 | 13 |
| 24.56 | 23 |
| 28.94 | 100 |
| 38.70 | 11 |
| 40.27 | 41 |
| 42.49 | 45 |
| 50.35 | 21 |
| 66.35 | 18 |
| 69.55 | 10 |

Structural model:
Cell lengths 8.5364, 8.5364, 8.5232 Å; angles 116.64, 116.64, 63.28 degrees
Sites, in units of the cell vectors:
Ac  0.2252  0.7530  0.7463
Ac  0.2437  0.2437  0.2554
Ac  0.2473  0.2473  0.7258
Ac  0.2470  0.7748  0.2537
Ac  0.7530  0.2252  0.7463
Ac  0.7527  0.7527  0.2742
Ac  0.7563  0.7563  0.7446
Ac  0.7748  0.2470  0.2537
Ir  0.0000  0.0000  0.0000
Ir  0.0000  0.5000  0.5000
Ir  0.5000  0.0000  0.5000
Au  0.5000  0.5000  0.0000

---

# 10
Theoretical powder X-ray diffraction pattern
Compound: Ac6Ir4Au
Radiation: Cu Kα X-rays
Structure: a cell relaxed with GGA-PBE
Lines closer than 0.1° are merged.

Principal peaks in the range 2θ = 10–90°, by angle:
| 2θ (°) | I_rel |
| --- | --- |
| 29.09 | 33 |
| 29.33 | 29 |
| 30.95 | 100 |
| 31.40 | 44 |
| 36.02 | 92 |
| 37.75 | 30 |
| 41.61 | 68 |
| 53.08 | 31 |
| 60.30 | 23 |
| 72.33 | 19 |

Structural model:
Cell lengths 6.1393, 6.1393, 9.5744 Å; angles 108.60, 108.60, 89.93 degrees
Sites, in units of the cell vectors:
Ac  0.0000  0.0000  0.0000
Ac  0.3589  0.8688  0.7164
Ac  0.4348  0.9357  0.3584
Ac  0.5097  0.5097  0.9999
Ac  0.8688  0.3589  0.7164
Ac  0.9357  0.4348  0.3584
Ir  0.0518  0.5402  0.0817
Ir  0.3294  0.3294  0.6346
Ir  0.5402  0.0518  0.0817
Ir  0.8176  0.8176  0.6342
Au  0.4354  0.4354  0.3580

---

# 11
Theoretical powder X-ray diffraction pattern
Compound: Ac7Ir2Au2
Radiation: Cu Kα X-rays
Structure: a cell relaxed with GGA-PBE
Lines closer than 0.1° are merged.

Principal peaks in the range 2θ = 10–90°, by angle:
| 2θ (°) | I_rel |
| --- | --- |
| 26.03 | 16 |
| 27.73 | 21 |
| 27.86 | 31 |
| 30.09 | 38 |
| 31.34 | 100 |
| 31.71 | 35 |
| 35.16 | 36 |
| 43.45 | 26 |
| 46.81 | 20 |
| 53.75 | 15 |

Structural model:
Cell lengths 10.1612, 10.1612, 10.1612 Å; angles 156.34, 67.44, 117.88 degrees
Sites, in units of the cell vectors:
Ac  0.0000  0.0000  0.0000
Ac  0.1017  0.4084  0.6934
Ac  0.1184  0.7518  0.3666
Ac  0.3852  0.7518  0.6334
Ac  0.4905  0.6115  0.8789
Ac  0.7150  0.4084  0.3066
Ac  0.7326  0.6115  0.1211
Ir  0.3616  0.1186  0.2429
Ir  0.8757  0.1186  0.7571
Au  0.3507  0.3507  0.0000
Au  0.7633  0.2633  0.5000

---

# 12
Theoretical powder X-ray diffraction pattern
Compound: Ac4Ir2Au
Radiation: Cu Kα X-rays
Structure: a cell relaxed with GGA-PBE
Lines closer than 0.1° are merged.

Principal peaks in the range 2θ = 10–90°, by angle:
| 2θ (°) | I_rel |
| --- | --- |
| 12.36 | 14 |
| 27.53 | 100 |
| 31.35 | 18 |
| 35.95 | 14 |
| 37.61 | 20 |
| 40.98 | 47 |
| 42.92 | 25 |
| 50.08 | 20 |
| 66.62 | 17 |
| 67.40 | 14 |

Structural model:
Cell lengths 14.5492, 14.5492, 14.5492 Å; angles 17.41, 17.41, 17.41 degrees
Sites, in units of the cell vectors:
Ac  0.1225  0.1225  0.1225
Ac  0.2849  0.2849  0.2849
Ac  0.7151  0.7151  0.7151
Ac  0.8775  0.8775  0.8775
Ir  0.4205  0.4205  0.4205
Ir  0.5795  0.5795  0.5795
Au  0.0000  0.0000  0.0000

---

# 13
Theoretical powder X-ray diffraction pattern
Compound: AcMgIrAu
Radiation: Cu Kα X-rays
Structure: a cell relaxed with GGA-PBE
Lines closer than 0.1° are merged.

Principal peaks in the range 2θ = 10–90°, by angle:
| 2θ (°) | I_rel |
| --- | --- |
| 21.47 | 22 |
| 24.84 | 6 |
| 35.42 | 100 |
| 41.79 | 12 |
| 50.95 | 18 |
| 55.91 | 5 |
| 63.58 | 37 |
| 74.94 | 12 |
| 79.02 | 4 |
| 85.71 | 17 |

Structural model:
Cell lengths 5.0692, 5.0692, 5.0692 Å; angles 60.00, 60.00, 60.00 degrees
Sites, in units of the cell vectors:
Ac  0.0000  0.0000  0.0000
Mg  0.5000  0.5000  0.5000
Ir  0.2500  0.2500  0.2500
Au  0.7500  0.7500  0.7500

---

# 14
Theoretical powder X-ray diffraction pattern
Compound: Ac6IrOsAu2
Radiation: Cu Kα X-rays
Structure: a cell relaxed with GGA-PBE
Lines closer than 0.1° are merged.

Principal peaks in the range 2θ = 10–90°, by angle:
| 2θ (°) | I_rel |
| --- | --- |
| 15.64 | 24 |
| 21.61 | 15 |
| 26.20 | 100 |
| 31.58 | 25 |
| 34.67 | 71 |
| 39.95 | 50 |
| 45.77 | 32 |
| 53.91 | 15 |
| 62.39 | 17 |
| 69.17 | 14 |

Structural model:
Cell lengths 8.2482, 8.2482, 8.2482 Å; angles 56.57, 56.57, 56.57 degrees
Sites, in units of the cell vectors:
Ac  0.0447  0.2945  0.6608
Ac  0.1569  0.7984  0.5478
Ac  0.2945  0.6608  0.0447
Ac  0.5478  0.1569  0.7984
Ac  0.6608  0.0447  0.2945
Ac  0.7984  0.5478  0.1569
Ir  0.4228  0.4228  0.4228
Os  0.9242  0.9242  0.9242
Au  0.2290  0.2290  0.2290
Au  0.7295  0.7295  0.7295

---

# 15
Theoretical powder X-ray diffraction pattern
Compound: AcPuIrAu
Radiation: Cu Kα X-rays
Structure: a cell relaxed with GGA-PBE
Lines closer than 0.1° are merged.

Principal peaks in the range 2θ = 10–90°, by angle:
| 2θ (°) | I_rel |
| --- | --- |
| 24.22 | 1 |
| 34.52 | 100 |
| 49.62 | 18 |
| 61.85 | 38 |
| 72.81 | 12 |
| 83.14 | 17 |

Structural model:
Cell lengths 5.1961, 5.1961, 5.1961 Å; angles 60.00, 60.00, 60.00 degrees
Sites, in units of the cell vectors:
Ac  0.0000  0.0000  0.0000
Pu  0.5000  0.5000  0.5000
Ir  0.7500  0.7500  0.7500
Au  0.2500  0.2500  0.2500